The following is a simulated PXRD pattern of La2MgCuO4. It was derived from a crystal structure in the Materials Project, relaxed with PBE, using λ = 1.5418 Å (Cu Kα).
Intensities are scaled so that the largest is 100.

Largest 10 diffraction maxima, most intense first, 15 to 90 degrees two-theta:
- 2θ = 37.2°, rel. 100.0
- 2θ = 28.1°, rel. 74.3
- 2θ = 30.8°, rel. 66.6
- 2θ = 22.5°, rel. 53.5
- 2θ = 59.0°, rel. 50.7
- 2θ = 44.1°, rel. 50.7
- 2θ = 39.3°, rel. 41.1
- 2θ = 53.2°, rel. 24.8
- 2θ = 23.8°, rel. 24.0
- 2θ = 58.7°, rel. 23.6

Structure:
```
La2MgCuO4
1.0
-2.052 2.052 7.490
2.052 -2.052 7.490
2.052 2.052 -7.490
La Mg Cu O
2 1 1 4
Cartesian
0.000 0.000 0.000
0.000 0.000 3.450
0.000 0.000 11.984
0.000 0.000 9.292
2.052 0.000 1.116
2.052 0.000 4.783
0.000 2.052 1.116
0.000 2.052 4.783
```

=====

The following is a simulated PXRD pattern of Na3YHfSi2SO12. It was derived from a crystal structure in the Materials Project, relaxed with PBE, using λ = 1.5418 Å (Cu Kα).
Intensities are scaled so that the largest is 100.

Largest 10 diffraction maxima, most intense first, 15 to 90 degrees two-theta:
- 2θ = 19.0°, rel. 100.0
- 2θ = 19.1°, rel. 79.4
- 2θ = 33.3°, rel. 60.0
- 2θ = 30.3°, rel. 54.0
- 2θ = 18.8°, rel. 50.5
- 2θ = 30.1°, rel. 46.0
- 2θ = 29.9°, rel. 41.1
- 2θ = 26.8°, rel. 38.4
- 2θ = 33.3°, rel. 33.7
- 2θ = 51.9°, rel. 23.9

Structure:
```
Na3YHfSi2SO12
1.0
8.063 -4.662 0.000
8.063 4.662 0.000
-5.488 0.000 7.710
Na Y Hf Si S O
6 2 2 4 2 24
Cartesian
5.319 4.067 3.855
2.686 2.483 5.867
5.796 0.649 0.061
3.052 -0.649 3.916
5.430 -2.483 2.012
8.063 -4.067 0.000
2.892 2.414 2.499
0.148 -2.414 6.354
8.444 2.462 1.656
5.700 -2.462 5.511
0.232 0.429 4.069
2.976 -0.429 0.214
10.720 0.993 4.102
13.464 -0.993 0.247
5.922 0.885 3.960
8.666 -0.885 0.105
-2.741 0.581 6.592
1.574 1.324 3.943
6.856 2.820 0.305
0.003 -0.581 2.737
3.127 0.474 1.540
9.614 3.358 0.296
4.567 1.492 3.872
0.383 -0.474 5.395
4.318 -1.324 0.088
6.743 1.156 2.751
6.531 1.490 5.148
8.497 0.590 0.270
9.865 1.665 2.823
5.753 -0.590 4.124
7.311 -1.492 0.017
3.999 -1.156 6.605
9.905 1.244 5.470
4.112 -2.820 4.160
9.275 -1.490 1.293
13.805 0.595 0.130
7.121 -1.665 6.678
11.061 -0.595 3.985
6.870 -3.358 4.151
12.649 -1.244 1.615
```

=====

The following is a simulated PXRD pattern of CeGePt. It was derived from a crystal structure in the Materials Project, relaxed with PBE, using λ = 1.5418 Å (Cu Kα).
Intensities are scaled so that the largest is 100.

Largest 10 diffraction maxima, most intense first, 15 to 90 degrees two-theta:
- 2θ = 40.4°, rel. 100.0
- 2θ = 34.3°, rel. 83.3
- 2θ = 32.8°, rel. 75.9
- 2θ = 40.8°, rel. 64.0
- 2θ = 33.7°, rel. 58.8
- 2θ = 34.4°, rel. 42.2
- 2θ = 33.3°, rel. 37.4
- 2θ = 23.6°, rel. 35.2
- 2θ = 54.4°, rel. 28.3
- 2θ = 42.6°, rel. 23.0

Structure:
```
CeGePt
1.0
5.225 -2.211 0.000
5.225 2.211 0.000
-4.868 0.000 5.385
Ce Ge Pt
2 2 2
Cartesian
-1.048 0.000 1.671
6.631 0.000 3.714
-0.855 0.000 4.903
6.438 0.000 0.482
1.935 0.000 1.567
3.647 0.000 3.818
```

=====

The following is a simulated PXRD pattern of Li2ErTl. It was derived from a crystal structure in the Materials Project, relaxed with PBE, using λ = 1.5418 Å (Cu Kα).
Intensities are scaled so that the largest is 100.

Largest 10 diffraction maxima, most intense first, 15 to 90 degrees two-theta:
- 2θ = 26.1°, rel. 100.0
- 2θ = 37.3°, rel. 89.1
- 2θ = 60.7°, rel. 39.2
- 2θ = 67.2°, rel. 32.3
- 2θ = 46.1°, rel. 29.4
- 2θ = 85.3°, rel. 19.5
- 2θ = 53.7°, rel. 15.8
- 2θ = 79.4°, rel. 10.2
- 2θ = 22.6°, rel. 1.7
- 2θ = 44.0°, rel. 1.0

Structure:
```
Li2ErTl
1.0
0.000 3.412 3.412
3.412 0.000 3.412
3.412 3.412 0.000
Li Er Tl
2 1 1
Cartesian
1.706 1.706 1.706
5.118 5.118 5.118
0.000 0.000 0.000
3.412 3.412 3.412
```

=====

The following is a simulated PXRD pattern of Li2NbOF5. It was derived from a crystal structure in the Materials Project, relaxed with PBE, using λ = 1.5418 Å (Cu Kα).
Intensities are scaled so that the largest is 100.

Largest 10 diffraction maxima, most intense first, 15 to 90 degrees two-theta:
- 2θ = 20.4°, rel. 100.0
- 2θ = 28.1°, rel. 98.5
- 2θ = 40.8°, rel. 56.8
- 2θ = 53.7°, rel. 36.1
- 2θ = 19.1°, rel. 30.9
- 2θ = 46.0°, rel. 23.5
- 2θ = 59.5°, rel. 20.7
- 2θ = 44.1°, rel. 20.0
- 2θ = 64.1°, rel. 16.2
- 2θ = 58.0°, rel. 11.1

Structure:
```
Li2NbOF5
1.0
5.033 0.000 0.000
-2.517 4.359 0.000
0.000 0.000 13.955
Li Nb O F
6 3 3 15
Cartesian
-2.505 4.347 13.954
0.004 0.016 4.651
2.469 1.478 4.652
2.519 1.399 9.303
2.562 1.482 0.000
2.501 4.355 9.303
-0.067 2.800 11.695
-0.059 3.017 7.044
0.126 2.902 2.392
-0.776 1.549 12.746
-0.787 4.257 8.095
1.563 2.913 3.443
-0.839 1.502 3.446
-0.798 1.485 8.107
-1.606 2.883 5.778
-1.621 2.915 1.130
-1.616 2.920 10.434
-0.831 4.307 3.455
0.796 1.500 1.131
0.803 1.498 5.782
0.823 1.527 10.430
-0.796 4.335 12.749
0.783 4.308 1.127
1.635 2.881 8.098
0.820 4.299 5.782
0.818 4.305 10.433
1.629 2.925 12.758
```

=====

The following is a simulated PXRD pattern of Na7Zr6F31. It was derived from a crystal structure in the Materials Project, relaxed with PBE, using λ = 1.5418 Å (Cu Kα).
Intensities are scaled so that the largest is 100.

Largest 10 diffraction maxima, most intense first, 15 to 90 degrees two-theta:
- 2θ = 28.1°, rel. 100.0
- 2θ = 46.7°, rel. 60.9
- 2θ = 46.5°, rel. 58.7
- 2θ = 55.3°, rel. 42.1
- 2θ = 21.5°, rel. 40.0
- 2θ = 19.9°, rel. 33.6
- 2θ = 27.9°, rel. 32.5
- 2θ = 32.5°, rel. 28.4
- 2θ = 55.1°, rel. 21.3
- 2θ = 55.4°, rel. 19.3

Structure:
```
Na7Zr6F31
1.0
7.007 4.045 3.201
-7.007 4.045 3.201
0.000 -8.091 3.201
Na Zr F
7 6 31
Cartesian
0.000 0.000 0.000
-4.316 1.338 3.133
1.000 -4.407 3.133
-3.310 -3.136 6.487
3.316 3.069 3.133
-1.060 4.434 6.487
4.370 -1.299 6.487
-1.625 -1.614 3.087
-0.585 2.214 3.087
2.210 -0.600 3.087
-2.347 0.651 6.524
0.610 -2.358 6.524
1.737 1.707 6.524
-1.254 -3.576 2.478
-3.263 -2.944 3.925
-5.353 -2.511 5.381
-1.612 0.450 2.445
-0.513 -5.833 4.195
-2.470 2.874 2.478
0.416 -1.621 2.445
-4.796 3.361 4.195
-2.567 -0.580 4.761
-0.723 -2.534 4.793
-4.229 1.342 5.690
1.196 1.171 2.445
0.000 0.000 4.203
-3.729 -0.756 7.131
-1.833 1.893 4.793
0.952 -4.333 5.690
-0.918 4.298 3.925
1.785 -1.933 4.761
3.724 0.702 2.478
-1.082 -1.058 6.849
4.181 -1.354 3.925
0.781 2.513 4.761
2.556 0.640 4.793
-0.375 1.466 6.849
4.852 -3.381 5.381
1.457 -0.408 6.849
2.519 -2.851 7.131
0.502 5.892 5.381
5.308 2.473 4.195
3.276 2.991 5.690
1.210 3.607 7.131
```

=====

The following is a simulated PXRD pattern of La12Cu6O25. It was derived from a crystal structure in the Materials Project, relaxed with PBE, using λ = 1.5418 Å (Cu Kα).
Intensities are scaled so that the largest is 100.

Largest 10 diffraction maxima, most intense first, 15 to 90 degrees two-theta:
- 2θ = 31.1°, rel. 100.0
- 2θ = 33.0°, rel. 60.3
- 2θ = 57.7°, rel. 36.3
- 2θ = 47.4°, rel. 30.6
- 2θ = 43.4°, rel. 23.8
- 2θ = 24.2°, rel. 18.3
- 2θ = 41.9°, rel. 14.6
- 2θ = 54.0°, rel. 13.4
- 2θ = 41.5°, rel. 11.7
- 2θ = 64.8°, rel. 10.8

Structure:
```
La12Cu6O25
1.0
6.068 -6.525 0.000
6.068 6.525 0.000
-2.432 0.000 7.280
La Cu O
12 6 25
Cartesian
-0.595 0.000 1.800
3.030 3.795 3.041
1.857 3.712 6.685
1.831 0.030 6.679
3.083 0.048 3.067
6.674 3.795 4.239
7.847 3.712 0.596
6.621 0.048 4.213
7.873 0.030 0.602
5.428 -2.848 1.833
4.277 -2.848 5.448
10.299 0.000 5.481
1.824 1.878 0.612
0.627 1.863 4.251
5.455 1.915 1.813
4.250 1.915 5.467
9.078 1.863 3.030
7.881 1.878 6.669
1.181 1.831 2.426
-0.008 1.795 6.056
4.852 5.253 3.640
5.594 4.194 1.381
2.455 2.041 4.838
4.111 4.194 5.900
3.638 1.940 1.234
1.861 -0.438 0.623
1.204 -0.469 4.438
4.852 2.013 3.640
6.068 1.637 0.000
7.250 2.041 2.443
1.843 -2.320 6.730
3.096 -2.316 3.013
6.067 1.940 6.046
5.399 -0.522 1.898
4.305 -0.522 5.382
9.712 1.795 1.225
8.523 1.831 4.854
8.501 -0.469 2.843
6.608 -2.316 4.267
7.861 -2.320 0.551
6.068 -4.567 0.000
4.852 -4.714 3.640
7.844 -0.438 6.657
```

=====

The following is a simulated PXRD pattern of SnSe2O6. It was derived from a crystal structure in the Materials Project, relaxed with PBE, using λ = 1.5418 Å (Cu Kα).
Intensities are scaled so that the largest is 100.

Largest 10 diffraction maxima, most intense first, 15 to 90 degrees two-theta:
- 2θ = 26.8°, rel. 100.0
- 2θ = 16.8°, rel. 77.0
- 2θ = 28.3°, rel. 66.3
- 2θ = 29.3°, rel. 66.3
- 2θ = 24.4°, rel. 65.9
- 2θ = 22.0°, rel. 46.9
- 2θ = 28.1°, rel. 36.7
- 2θ = 40.3°, rel. 28.8
- 2θ = 42.1°, rel. 27.7
- 2θ = 46.2°, rel. 26.5

Structure:
```
SnSe2O6
1.0
4.895 0.000 0.000
0.000 8.709 0.000
-2.600 0.000 6.650
Sn Se O
2 4 12
Cartesian
0.000 0.000 0.000
-1.300 4.355 3.325
-0.021 1.292 4.558
1.279 3.062 1.233
1.016 5.647 5.418
2.316 7.417 2.092
-1.509 0.502 4.929
-0.209 3.852 1.604
0.834 1.383 1.313
-0.466 2.972 4.638
0.184 5.699 3.885
1.484 7.365 0.560
0.811 1.344 6.091
2.111 3.010 2.766
2.761 5.738 2.012
1.461 7.326 5.337
2.504 4.857 5.047
3.804 8.207 1.722
```

=====

Question: Which formula does entry 4 have?
Answer: Li2ErTl